PmSm3: calculated powder X-ray diffraction pattern (CuKα), based on a GGA-PBE-relaxed structure.

Cell and atoms:
a = 7.3150 Å, b = 7.3150 Å, c = 5.9698 Å
α = 90.00°, β = 90.00°, γ = 120.00°
Space group P6_3/mmc (No. 194)
Unique sites:
Pm: 0.3333 0.6667 0.2500
Sm: 0.1662 0.3323 0.7500

The 10 most intense peaks (2θ = 10–90°), in order of falling intensity:
2θ = 32.0°, rel. 100
2θ = 29.9°, rel. 26
2θ = 28.2°, rel. 23
2θ = 59.3°, rel. 23
2θ = 54.5°, rel. 22
2θ = 49.9°, rel. 19
2θ = 41.6°, rel. 16
2θ = 60.5°, rel. 16
2θ = 82.1°, rel. 14
2θ = 83.6°, rel. 9